RbZn2HgBr8: computed powder XRD pattern (Cu Kα, 1.54184 Å), based on a crystal structure in Alexandria, relaxed with PBE.

Atomic structure:
Unit cell a=6.7384 b=6.7384 c=30.3525 alpha=90.00 beta=90.00 gamma=120.00
Space group R-3 (No. 148, hexagonal axes)
Unique sites:
Rb: 0.0000 0.0000 0.0000 [3 per cell]
Zn: 0.0000 0.0000 0.2470 [6 per cell]
Hg: 0.0000 0.0000 0.5000 [3 per cell]
Br: 0.0000 0.0000 0.3266 [6 per cell]
Br: 0.0055 0.6859 0.1103 [18 per cell]

Peak list (8 most intense, 2θ = 15–90°, low angle first)
2θ (°)  I (rel.)
19.19  64
26.44  59
27.91  74
31.91  100
32.89  27
44.81  76
46.70  62
54.45  30